For NiH20PtC4N4O12, a GGA+U-relaxed structure gives the theoretical powder X-ray diffraction pattern in this record (a wavelength of 1.5418 Å).
Neutral-atom scattering factors, no anomalous dispersion.

```
data_NiH20PtC4N4O12
_cell_length_a 7.245
_cell_length_b 7.587
_cell_length_c 14.953
_cell_angle_alpha 90.00
_cell_angle_beta 90.00
_cell_angle_gamma 90.00
_symmetry_space_group_name_H-M 'I 2 2 2'
_symmetry_Int_Tables_number 23
_symmetry_space_group_name_Hall 'I 2 2'
loop_
_atom_site_label
_atom_site_type_symbol
_atom_site_fract_x
_atom_site_fract_y
_atom_site_fract_z
Ni1 Ni 0.000 0.000 0.000
H1 H 0.001 0.350 0.054
H2 H 0.023 0.142 0.342
H3 H 0.106 0.285 0.415
H4 H 0.109 0.497 0.813
H5 H 0.119 0.265 0.597
Pt1 Pt 0.000 0.000 0.500
C1 C 0.108 0.002 0.180
N1 N 0.002 0.196 0.404
O1 O 0.000 0.275 0.000
O2 O 0.000 0.500 0.146
O3 O 0.186 0.002 0.255
O4 O 0.188 0.005 0.104
```

Principal peaks in the range 10° ≤ 2θ ≤ 90°, by angle:
| d/Å | I/Imax | (hkl) |
| --- | --- | --- |
| 7.476 | 50.6 | 0 0 2 |
| 5.240 | 100.0 | 1 1 0 |
| 4.291 | 56.7 | 1 1 2 |
| 3.793 | 34.3 | 0 2 0 |
| 3.623 | 19.6 | 2 0 0 |
| 3.260 | 33.8 | 2 0 2 |
| 3.194 | 24.7 | 2 1 1 |
| 3.043 | 34.5 | 1 1 4 |
| 2.786 | 29.4 | 1 2 3 |
| 2.200 | 20.4 | 3 1 2 |